Starting from a structure optimized by DFT (GGA-PBE), the X-ray diffraction stick pattern of Re4SiMo was computed for CuKα.
No peak broadening, texture or thermal motion is included.

Principal peaks in the range 2θ = 5–70°, low angle first:
2θ/deg  I/Imax
21.18  68
24.50  3
34.93  6
41.21  100
43.13  76
50.23  25
55.10  17
56.66  1
62.64  2
66.92  32

Cell and atoms:
```
6
Lattice="0.000 3.633 3.633 3.633 0.000 3.633 3.633 3.633 0.000" Properties=species:S:1:pos:R:3 pbc="T T T"
Re 0.903 0.903 0.903
Re 2.730 2.730 0.903
Re 2.730 0.903 2.730
Re 0.903 2.730 2.730
Si 5.449 5.449 5.449
Mo 3.633 3.633 3.633
```

=====

Starting from a structure optimized by DFT (GGA-PBE), the X-ray diffraction stick pattern of Dy5Ga2Ge was computed for CuKα.
No peak broadening, texture or thermal motion is included.

Principal peaks in the range 2θ = 5–70°, low angle first:
2θ/deg  I/Imax
26.70  18
30.96  16
32.63  100
32.90  13
35.17  34
36.91  46
39.68  13
53.01  17
57.53  16
68.84  12

Cell and atoms:
```
16
Lattice="-3.850 3.850 6.814 3.850 -3.850 6.814 3.850 3.850 -6.814" Properties=species:S:1:pos:R:3 pbc="T T T"
Dy 0.000 0.000 0.000
Dy 5.136 1.286 -2.021
Dy 1.286 2.564 -2.021
Dy 5.136 1.286 2.021
Dy 1.286 2.564 2.021
Dy 0.000 0.000 6.814
Dy 2.564 1.286 4.793
Dy -1.286 2.564 4.793
Dy 2.564 1.286 8.835
Dy -1.286 2.564 8.835
Ga 2.886 0.965 0.000
Ga 2.886 -0.965 6.814
Ga 0.965 4.815 0.000
Ga 0.965 2.886 6.814
Ge 0.000 0.000 3.407
Ge 0.000 0.000 10.221
```

=====

Starting from a structure optimized by DFT (GGA-PBE), the X-ray diffraction stick pattern of KTh2US8 was computed for CuKα.
No peak broadening, texture or thermal motion is included.

Principal peaks in the range 2θ = 5–70°, low angle first:
2θ/deg  I/Imax
10.01  50
20.20  100
20.28  77
24.32  63
25.11  53
25.22  53
27.27  43
37.49  41
39.09  51
39.23  50

Cell and atoms:
```
12
Lattice="5.915 0.000 0.000 0.024 6.540 0.000 0.037 0.006 8.833" Properties=species:S:1:pos:R:3 pbc="T T T"
K 0.000 0.000 0.000
Th 2.971 3.270 2.285
Th 3.006 3.276 6.548
U 0.018 0.003 4.416
S 1.375 3.049 0.000
S 1.516 5.599 6.217
S 1.519 5.617 2.605
S 1.522 2.204 4.429
S 4.454 4.342 4.404
S 4.457 0.929 6.228
S 4.460 0.947 2.616
S 4.601 3.496 8.832
```